Diffraction record for Cu5Sn4. The X-ray powder pattern is theoretical, not measured: it uses a crystal structure in OQMD, relaxed with GGA-PBE and Cu Kα X-rays.

Structure:
```
Cu5Sn4
1.0
6.3962 -3.6931 0.0000
6.3962 3.6931 0.0000
-0.0745 0.0000 10.2732
Cu Sn
15 12
direct
0.0000 0.0000 0.0000
0.0073 0.3248 0.1257
0.0071 0.6512 0.2506
0.0081 0.3397 0.3771
0.0235 0.2978 0.8744
0.0261 0.3110 0.6235
0.3099 0.6748 0.1256
0.3252 0.6578 0.3768
0.3252 0.6901 0.8744
0.3422 0.6748 0.6232
0.3488 0.9929 0.7494
0.6603 0.9919 0.6229
0.6752 0.9927 0.8743
0.6890 0.9739 0.3765
0.7022 0.9765 0.1256
0.0003 0.0180 0.2688
0.0074 0.6342 0.9810
0.0085 0.6541 0.5197
0.3459 0.9915 0.4803
0.3504 0.3503 0.7506
0.3658 0.9926 0.0190
0.3723 0.3007 0.2495
0.6429 0.3571 0.0000
0.6497 0.6496 0.2494
0.6696 0.3304 0.5000
0.6993 0.6277 0.7505
0.9820 0.9997 0.7312
```

Largest 6 diffraction maxima, low angle first, 2θ = 10–90°:
29.70°, I = 37; 29.84°, I = 64; 42.39°, I = 100; 42.76°, I = 30; 42.89°, I = 30; 43.02°, I = 28

***

Diffraction record for Cu15Sn. The X-ray powder pattern is theoretical, not measured: it uses a crystal structure in OQMD, relaxed with GGA-PBE and Cu Kα X-rays.

Structure:
```
Cu15Sn
1.0
5.1073 0.0000 0.0000
0.0000 3.5857 0.0000
-0.0065 0.0000 34.0409
Cu Sn
30 2
direct
0.1244 0.2500 0.1677
0.1249 0.2500 0.0184
0.1253 0.2500 0.0928
0.1254 0.2500 0.2434
0.1248 0.2500 0.7207
0.1248 0.2500 0.7948
0.1249 0.2500 0.8697
0.1250 0.2500 0.9441
0.3743 0.7500 0.8322
0.3750 0.7500 0.0558
0.3749 0.7500 0.1306
0.3750 0.7500 0.2058
0.3752 0.7500 0.7566
0.3753 0.7500 0.9071
0.3749 0.7500 0.9815
0.6251 0.2500 0.0185
0.6247 0.2500 0.0929
0.6248 0.2500 0.2434
0.6250 0.2500 0.7942
0.6251 0.2500 0.8694
0.6250 0.2500 0.9442
0.6257 0.2500 0.1678
0.8750 0.7500 0.0559
0.8751 0.7500 0.1303
0.8752 0.7500 0.2052
0.8752 0.7500 0.2793
0.8746 0.7500 0.7566
0.8747 0.7500 0.9072
0.8751 0.7500 0.9816
0.8756 0.7500 0.8323
0.3751 0.7500 0.2941
0.6249 0.2500 0.7059
```

Largest 6 diffraction maxima, low angle first, 2θ = 10–90°:
42.76°, I = 64; 43.53°, I = 100; 45.05°, I = 27; 49.88°, I = 39; 50.93°, I = 22; 74.06°, I = 22

***

Diffraction record for CuSn4. The X-ray powder pattern is theoretical, not measured: it uses a crystal structure in OQMD, relaxed with GGA-PBE and Cu Kα X-rays.

Structure:
```
CuSn4
1.0
-7.5197 7.5197 7.5197
7.5197 -7.5197 7.5197
7.5197 7.5197 -7.5197
Cu Sn
12 48
direct
0.1250 0.2500 0.3750
0.1250 0.3750 0.7500
0.2500 0.3750 0.1250
0.2500 0.8750 0.6250
0.3750 0.1250 0.2500
0.3750 0.7500 0.1250
0.6250 0.2500 0.8750
0.6250 0.8750 0.7500
0.7500 0.1250 0.3750
0.7500 0.6250 0.8750
0.8750 0.6250 0.2500
0.8750 0.7500 0.6250
0.0372 0.2147 0.1268
0.0372 0.3225 0.9104
0.0879 0.7147 0.6775
0.0879 0.8732 0.4104
0.0896 0.6268 0.4121
0.0896 0.9628 0.6775
0.1268 0.0372 0.2147
0.1268 0.5896 0.9121
0.1775 0.2147 0.5879
0.1775 0.4628 0.5896
0.2147 0.1268 0.0372
0.2147 0.5879 0.1775
0.2853 0.3225 0.9121
0.2853 0.4628 0.3732
0.3225 0.9104 0.0372
0.3225 0.9121 0.2853
0.3732 0.2853 0.4628
0.3732 0.5879 0.9104
0.4104 0.0879 0.8732
0.4104 0.8225 0.5372
0.4121 0.0896 0.6268
0.4121 0.8225 0.7853
0.4628 0.3732 0.2853
0.4628 0.5896 0.1775
0.5372 0.4104 0.8225
0.5372 0.6268 0.7147
0.5879 0.1775 0.2147
0.5879 0.9104 0.3732
0.5896 0.1775 0.4628
0.5896 0.9121 0.1268
0.6268 0.4121 0.0896
0.6268 0.7147 0.5372
0.6775 0.0879 0.7147
0.6775 0.0896 0.9628
0.7147 0.5372 0.6268
0.7147 0.6775 0.0879
0.7853 0.4121 0.8225
0.7853 0.8732 0.9628
0.8225 0.5372 0.4104
0.8225 0.7853 0.4121
0.8732 0.4104 0.0879
0.8732 0.9628 0.7853
0.9104 0.0372 0.3225
0.9104 0.3732 0.5879
0.9121 0.1268 0.5896
0.9121 0.2853 0.3225
0.9628 0.6775 0.0896
0.9628 0.7853 0.8732
```

Largest 6 diffraction maxima, low angle first, 2θ = 10–90°:
27.82°, I = 100; 30.30°, I = 74; 32.61°, I = 89; 36.84°, I = 92; 43.39°, I = 74; 60.99°, I = 36

***

Diffraction record for Cu10Sn3. The X-ray powder pattern is theoretical, not measured: it uses a crystal structure in OQMD, relaxed with GGA-PBE and Cu Kα X-rays.

Structure:
```
Cu10Sn3
1.0
7.3252 0.0000 0.0000
-3.6626 6.3438 0.0000
0.0000 0.0000 8.2641
Cu Sn
20 6
direct
0.0000 0.0000 0.1660
0.0000 0.0000 0.8340
0.0000 0.2714 0.4051
0.0000 0.3156 0.0609
0.0000 0.3184 0.7373
0.0000 0.6816 0.2627
0.0000 0.6844 0.9391
0.0000 0.7286 0.5949
0.2714 0.0000 0.4051
0.2714 0.2714 0.5949
0.3156 0.0000 0.0609
0.3156 0.3156 0.9391
0.3184 0.0000 0.7373
0.3184 0.3184 0.2627
0.6816 0.0000 0.2627
0.6816 0.6816 0.7373
0.6844 0.0000 0.9391
0.6844 0.6844 0.0609
0.7286 0.0000 0.5949
0.7286 0.7286 0.4051
0.3333 0.6667 0.1673
0.3333 0.6667 0.5000
0.3333 0.6667 0.8327
0.6667 0.3333 0.1673
0.6667 0.3333 0.5000
0.6667 0.3333 0.8327
```

Largest 6 diffraction maxima, low angle first, 2θ = 10–90°:
28.13°, I = 13; 41.00°, I = 100; 42.76°, I = 80; 60.73°, I = 25; 73.45°, I = 18; 77.11°, I = 22

***

Diffraction record for Cu5Sn4. The X-ray powder pattern is theoretical, not measured: it uses a crystal structure in OQMD, relaxed with GGA-PBE and Cu Kα X-rays.

Structure:
```
Cu5Sn4
1.0
6.3703 -3.6744 0.0000
6.3703 3.6744 0.0000
-0.0497 0.0000 10.2640
Cu Sn
15 12
direct
0.0000 0.0000 0.0000
0.0025 0.3444 0.3773
0.0034 0.3268 0.1258
0.0032 0.6537 0.2512
0.0194 0.2995 0.8744
0.0251 0.3119 0.6232
0.3065 0.6742 0.1253
0.3241 0.6572 0.3769
0.3258 0.6935 0.8747
0.3428 0.6759 0.6231
0.3463 0.9968 0.7488
0.6556 0.9975 0.6227
0.6732 0.9966 0.8742
0.6881 0.9749 0.3768
0.7005 0.9806 0.1256
0.0043 0.6356 0.9808
0.0070 0.6562 0.5206
0.3438 0.9930 0.4794
0.3466 0.3549 0.7524
0.3644 0.9957 0.0192
0.3689 0.3018 0.2504
0.6424 0.3576 0.0000
0.6451 0.6534 0.2476
0.6687 0.3313 0.5000
0.6982 0.6311 0.7496
0.9804 0.0006 0.7306
0.9994 0.0196 0.2694
```

Largest 6 diffraction maxima, low angle first, 2θ = 10–90°:
29.87°, I = 68; 29.95°, I = 32; 42.60°, I = 100; 42.94°, I = 60; 43.07°, I = 28; 77.97°, I = 13

***

Diffraction record for TbYCu2Sn. The X-ray powder pattern is theoretical, not measured: it uses a crystal structure in OQMD, relaxed with GGA-PBE and Cu Kα X-rays.

Structure:
```
TbYCu2Sn
1.0
3.6191 0.0000 0.0000
0.0000 4.2336 0.0000
0.0000 0.0000 13.8201
Tb Y Cu Sn
2 2 4 2
direct
0.0000 0.0000 0.0000
0.0000 0.5000 0.5000
0.0000 0.0000 0.2608
0.0000 0.5000 0.7608
0.5000 0.0000 0.4291
0.5000 0.0000 0.8326
0.5000 0.5000 0.3326
0.5000 0.5000 0.9291
0.5000 0.0000 0.6312
0.5000 0.5000 0.1312
```

Largest 6 diffraction maxima, low angle first, 2θ = 10–90°:
28.64°, I = 28; 33.21°, I = 100; 35.94°, I = 62; 38.91°, I = 47; 42.72°, I = 28; 57.02°, I = 33

***

Diffraction record for U3Cu3Sn4. The X-ray powder pattern is theoretical, not measured: it uses a crystal structure in OQMD, relaxed with GGA-PBE and Cu Kα X-rays.

Structure:
```
U3Cu3Sn4
1.0
-4.7596 4.7596 4.7596
4.7596 -4.7596 4.7596
4.7596 4.7596 -4.7596
U Cu Sn
6 6 8
direct
0.1250 0.8750 0.2500
0.2500 0.1250 0.8750
0.3750 0.6250 0.7500
0.6250 0.7500 0.3750
0.7500 0.3750 0.6250
0.8750 0.2500 0.1250
0.1250 0.7500 0.8750
0.2500 0.6250 0.3750
0.3750 0.2500 0.6250
0.6250 0.3750 0.2500
0.7500 0.8750 0.1250
0.8750 0.1250 0.7500
0.0000 0.1686 0.5000
0.0000 0.6686 0.5000
0.1686 0.5000 0.0000
0.3314 0.3314 0.3314
0.5000 0.0000 0.1686
0.5000 0.0000 0.6686
0.6686 0.5000 0.0000
0.8314 0.8314 0.8314
```

Largest 6 diffraction maxima, low angle first, 2θ = 10–90°:
22.88°, I = 16; 29.68°, I = 59; 35.28°, I = 100; 42.47°, I = 43; 59.90°, I = 24; 73.04°, I = 17

***

Diffraction record for Y3Cu2Sn7. The X-ray powder pattern is theoretical, not measured: it uses a crystal structure in OQMD, relaxed with GGA-PBE and Cu Kα X-rays.

Structure:
```
Y3Cu2Sn7
1.0
3.1437 1.8150 8.8477
-3.1437 1.8150 8.8477
0.0000 -3.6300 8.8477
Y Cu Sn
3 2 7
direct
0.0000 0.0000 0.0000
0.1415 0.1415 0.1415
0.8585 0.8585 0.8585
0.3374 0.3374 0.3374
0.6626 0.6626 0.6626
0.0651 0.5820 0.5820
0.4180 0.4180 0.9349
0.4180 0.9349 0.4180
0.5000 0.5000 0.5000
0.5820 0.0651 0.5820
0.5820 0.5820 0.0651
0.9349 0.4180 0.4180
```

Largest 6 diffraction maxima, low angle first, 2θ = 10–90°:
31.58°, I = 35; 33.08°, I = 53; 35.02°, I = 100; 37.11°, I = 40; 40.80°, I = 49; 58.74°, I = 37

***

Diffraction record for Tb6Cu23. The X-ray powder pattern is theoretical, not measured: it uses a crystal structure in OQMD, relaxed with GGA-PBE and Cu Kα X-rays.

Structure:
```
Tb6Cu23
1.0
0.0000 6.0600 6.0600
6.0600 0.0000 6.0600
6.0600 6.0600 0.0000
Tb Cu
6 23
direct
0.2127 0.2127 0.7873
0.2127 0.7873 0.2127
0.2127 0.7873 0.7873
0.7873 0.2127 0.2127
0.7873 0.2127 0.7873
0.7873 0.7873 0.2127
0.0000 0.0000 0.5000
0.0000 0.5000 0.0000
0.0000 0.5000 0.5000
0.1339 0.6220 0.6220
0.1740 0.1740 0.1740
0.1740 0.1740 0.4781
0.1740 0.4781 0.1740
0.3780 0.3780 0.3780
0.3780 0.3780 0.8661
0.3780 0.8661 0.3780
0.4781 0.1740 0.1740
0.5000 0.0000 0.0000
0.5000 0.0000 0.5000
0.5000 0.5000 0.0000
0.5000 0.5000 0.5000
0.5219 0.8260 0.8260
0.6220 0.1339 0.6220
0.6220 0.6220 0.1339
0.6220 0.6220 0.6220
0.8260 0.5219 0.8260
0.8260 0.8260 0.5219
0.8260 0.8260 0.8260
0.8661 0.3780 0.3780
```

Largest 6 diffraction maxima, low angle first, 2θ = 10–90°:
25.46°, I = 17; 36.31°, I = 25; 38.60°, I = 66; 42.18°, I = 100; 65.33°, I = 16; 77.10°, I = 15

***

Q: What is the formula in the fifth record?
A: Cu5Sn4